Diffraction record for Pm3Tm7Sc2. The X-ray powder pattern is calculated, not measured: it uses the GGA-PBE geometry in Alexandria and Cu Kα (λ = 1.5418 Å).
Peak positions follow from Bragg's law for the DFT cell and can differ from measured ones.

```
data_Pm3Tm7Sc2
_chemical_formula_sum 'Pm3 Tm7 Sc2'
_symmetry_space_group_name_H-M 'P 1 2/m 1'
_symmetry_Int_Tables_number 10
_cell_length_a 3.556
_cell_length_b 5.457
_cell_length_c 20.045
_cell_angle_alpha 90.00
_cell_angle_beta 95.10
_cell_angle_gamma 90.00
loop_
_symmetry_equiv_pos_as_xyz
'x,y,z'
'-x,-y,-z'
'-x,y,-z'
'x,-y,z'
loop_
_atom_site_label
_atom_site_fract_x
_atom_site_fract_y
_atom_site_fract_z
Pm1 0.000 0.000 0.000
Pm2 0.330 0.500 0.662
Tm1 0.088 0.500 0.175
Tm2 0.215 0.000 0.429
Tm3 0.431 0.000 0.862
Tm4 0.500 0.500 0.000
Sc1 0.138 0.000 0.274
```

The 8 most intense peaks (10 to 80 degrees two-theta), by angle:
two_theta, intensity, hkl
31.49, 233, 0 1 6
32.06, 1000, 1 1 2
32.26, 265, 1 0 -5
32.83, 442, 0 2 0
33.95, 330, 1 1 -4
35.51, 187, 0 1 7
46.69, 190, 1 2 -5
58.12, 186, 1 3 2